# 1
The following is a calculated powder diffractogram of P2WO7. It was derived from a GGA+U-relaxed structure, using Cu Kα X-rays.
Lines closer than 0.1° are merged.

Most intense lines, 2θ from 10° to 80°, in order of rising 2θ:
2θ = 13.7°, I 34, hkl 0 1 1; 2θ = 16.8°, I 79, hkl 1 1 -1; 2θ = 19.2°, I 49, hkl 0 0 2; 2θ = 21.3°, I 100, hkl 1 1 1; 2θ = 21.8°, I 64, hkl 0 2 1; 2θ = 26.9°, I 31, hkl 1 0 2; 2θ = 27.8°, I 42, hkl 1 2 -2; 2θ = 29.3°, I 31, hkl 2 1 -2; 2θ = 32.5°, I 31, hkl 1 3 0; 2θ = 37.3°, I 26, hkl 2 2 1

Atomic structure:
a b c (Å): 7.001 9.086 9.776
angles (deg): 90.00 109.01 90.00
Space group P2_1/c (No. 14)
Symmetry-distinct sites (fractional):
1 P 0.027 0.213 0.469 [4 per cell]
2 P 0.403 0.246 0.749 [4 per cell]
3 W 0.200 0.572 0.801 [4 per cell]
4 O 0.023 0.634 0.606 [4 per cell]
5 O 0.029 0.093 0.363 [4 per cell]
6 O 0.133 0.687 0.954 [4 per cell]
7 O 0.241 0.229 0.584 [4 per cell]
8 O 0.355 0.143 0.849 [4 per cell]
9 O 0.386 0.084 0.283 [4 per cell]
10 O 0.394 0.734 0.780 [4 per cell]

***

# 2
The following is a calculated powder diffractogram of ZnP2W2O9. It was derived from a GGA+U-relaxed structure, using Cu Kα X-rays.
Lines closer than 0.1° are merged.

Most intense lines, 2θ from 10° to 80°, in order of rising 2θ:
2θ = 16.9°, I 44, hkl 2 0 1; 2θ = 17.8°, I 28, hkl 2 1 0; 2θ = 21.5°, I 57, hkl 3 0 1; 2θ = 24.3°, I 30, hkl 0 0 2; 2θ = 25.0°, I 48, hkl 1 0 2; 2θ = 29.2°, I 31, hkl 2 2 0; 2θ = 29.9°, I 100, hkl 1 2 1; 2θ = 32.3°, I 43, hkl 5 0 1; 2θ = 38.3°, I 29, hkl 2 2 2; 2θ = 55.8°, I 36, hkl 4 0 4

Atomic structure:
a b c (Å): 14.988 6.699 7.335
angles (deg): 90.00 90.00 90.00
Space group Pnma (No. 62)
Symmetry-distinct sites (fractional):
1 Zn 0.233 0.250 0.054 [4 per cell]
2 P 0.078 0.750 0.624 [4 per cell]
3 P 0.190 0.750 0.099 [4 per cell]
4 W 0.000 0.000 0.000 [4 per cell]
5 W 0.125 0.250 0.627 [4 per cell]
6 O 0.009 0.750 0.474 [4 per cell]
7 O 0.029 0.750 0.815 [4 per cell]
8 O 0.064 0.250 0.883 [4 per cell]
9 O 0.135 0.553 0.100 [8 per cell]
10 O 0.143 0.571 0.613 [8 per cell]
11 O 0.241 0.250 0.439 [4 per cell]
12 O 0.249 0.250 0.776 [4 per cell]

***

# 3
The following is a calculated powder diffractogram of ZnP2WO7. It was derived from a GGA+U-relaxed structure, using Cu Kα X-rays.
Lines closer than 0.1° are merged.

Most intense lines, 2θ from 10° to 80°, in order of rising 2θ:
2θ = 17.9°, I 33, hkl 1 -1 0; 2θ = 18.7°, I 57, hkl 0 1 1; 2θ = 27.1°, I 100, hkl 1 0 -2; 2θ = 27.7°, I 51, hkl 1 -2 0; 2θ = 28.4°, I 58, hkl 1 0 2; 2θ = 29.5°, I 28, hkl 1 1 1; 2θ = 34.4°, I 31, hkl 2 -1 1; 2θ = 35.1°, I 43, hkl 0 2 -2; 2θ = 36.3°, I 23, hkl 2 -2 0; 2θ = 43.9°, I 32, hkl 2 1 -1

Atomic structure:
a b c (Å): 5.531 6.623 8.283
angles (deg): 93.69 91.24 112.14
Space group P-1 (No. 2)
Symmetry-distinct sites (fractional):
1 Zn 0.157 0.183 0.383 [2 per cell]
2 P 0.300 0.730 0.411 [2 per cell]
3 P 0.326 0.153 0.853 [2 per cell]
4 W 0.167 0.612 0.860 [2 per cell]
5 O 0.097 0.922 0.830 [2 per cell]
6 O 0.123 0.855 0.457 [2 per cell]
7 O 0.148 0.497 0.329 [2 per cell]
8 O 0.245 0.330 0.795 [2 per cell]
9 O 0.459 0.201 0.020 [2 per cell]
10 O 0.467 0.875 0.275 [2 per cell]
11 O 0.469 0.715 0.554 [2 per cell]

***

# 4
The following is a calculated powder diffractogram of ZnP3W3O13. It was derived from a GGA+U-relaxed structure, using Cu Kα X-rays.
Lines closer than 0.1° are merged.

Most intense lines, 2θ from 10° to 80°, in order of rising 2θ:
2θ = 15.6°, I 34, hkl 0 1 1; 2θ = 18.3°, I 100, hkl 1 0 -2; 2θ = 18.4°, I 45, hkl 1 1 -1; 2θ = 25.6°, I 41, hkl 1 1 2; 2θ = 25.9°, I 50, hkl 2 0 1; 2θ = 30.8°, I 55, hkl 2 0 -3; 2θ = 33.7°, I 31, hkl 2 1 -3; 2θ = 35.4°, I 36, hkl 2 2 0; 2θ = 36.7°, I 36, hkl 0 2 3; 2θ = 50.0°, I 34, hkl 3 2 2

Atomic structure:
a b c (Å): 7.845 6.718 10.934
angles (deg): 90.00 100.48 90.00
Space group P2_1/m (No. 11)
Symmetry-distinct sites (fractional):
1 Zn 0.195 0.250 0.220 [2 per cell]
2 P 0.202 0.750 0.129 [2 per cell]
3 P 0.227 0.750 0.776 [2 per cell]
4 P 0.301 0.250 0.533 [2 per cell]
5 W 0.132 0.250 0.802 [2 per cell]
6 W 0.284 0.750 0.459 [2 per cell]
7 W 0.500 0.000 0.000 [2 per cell]
8 O 0.013 0.750 0.054 [2 per cell]
9 O 0.120 0.566 0.798 [4 per cell]
10 O 0.156 0.750 0.265 [2 per cell]
11 O 0.167 0.250 0.623 [2 per cell]
12 O 0.268 0.067 0.446 [4 per cell]
13 O 0.279 0.750 0.648 [2 per cell]
14 O 0.300 0.558 0.109 [4 per cell]
15 O 0.357 0.250 0.911 [2 per cell]
16 O 0.401 0.750 0.877 [2 per cell]
17 O 0.484 0.250 0.614 [2 per cell]

***

# 5
The following is a calculated powder diffractogram of ZnP2WO7. It was derived from a GGA+U-relaxed structure, using Cu Kα X-rays.
Lines closer than 0.1° are merged.

Most intense lines, 2θ from 10° to 80°, in order of rising 2θ:
2θ = 14.3°, I 58, hkl 1 0 0; 2θ = 15.7°, I 60, hkl 1 0 1; 2θ = 19.3°, I 63, hkl 1 1 1; 2θ = 19.4°, I 59, hkl 0 1 -1; 2θ = 20.6°, I 61, hkl 1 -1 0; 2θ = 26.9°, I 89, hkl 2 0 1; 2θ = 27.6°, I 88, hkl 0 0 2; 2θ = 28.4°, I 64, hkl 2 1 1; 2θ = 29.8°, I 95, hkl 0 2 1; 2θ = 30.5°, I 100, hkl 0 2 -1

Atomic structure:
a b c (Å): 6.732 6.733 6.967
angles (deg): 85.59 67.92 82.38
Space group P-1 (No. 2)
Symmetry-distinct sites (fractional):
1 Zn 0.189 0.129 0.345 [2 per cell]
2 P 0.152 0.618 0.151 [2 per cell]
3 P 0.272 0.862 0.744 [2 per cell]
4 W 0.399 0.348 0.719 [2 per cell]
5 O 0.081 0.386 0.701 [2 per cell]
6 O 0.110 0.940 0.641 [2 per cell]
7 O 0.137 0.787 0.973 [2 per cell]
8 O 0.248 0.420 0.038 [2 per cell]
9 O 0.291 0.691 0.253 [2 per cell]
10 O 0.406 0.023 0.760 [2 per cell]
11 O 0.426 0.674 0.630 [2 per cell]

***

# 6
The following is a calculated powder diffractogram of ZnP4WO12. It was derived from a GGA+U-relaxed structure, using Cu Kα X-rays.
Lines closer than 0.1° are merged.

Most intense lines, 2θ from 10° to 80°, in order of rising 2θ:
2θ = 13.6°, I 100, hkl 1 1 -1; 2θ = 18.1°, I 67, hkl 1 1 1; 2θ = 19.8°, I 20, hkl 1 1 -2; 2θ = 23.3°, I 48, hkl 3 1 -1; 2θ = 28.0°, I 96, hkl 0 2 2; 2θ = 29.5°, I 27, hkl 3 1 -3; 2θ = 31.9°, I 24, hkl 4 0 0; 2θ = 35.1°, I 28, hkl 4 2 -2; 2θ = 37.9°, I 19, hkl 5 1 -1; 2θ = 40.6°, I 17, hkl 1 3 -3

Atomic structure:
a b c (Å): 12.718 8.831 10.406
angles (deg): 90.00 118.13 90.00
Space group C2/c (No. 15)
Symmetry-distinct sites (fractional):
1 Zn 0.000 0.015 0.250 [4 per cell]
2 P 0.003 0.279 0.971 [8 per cell]
3 P 0.180 0.493 0.191 [8 per cell]
4 W 0.250 0.250 0.500 [4 per cell]
5 O 0.032 0.142 0.910 [8 per cell]
6 O 0.063 0.266 0.442 [8 per cell]
7 O 0.067 0.401 0.659 [8 per cell]
8 O 0.128 0.364 0.067 [8 per cell]
9 O 0.224 0.424 0.338 [8 per cell]
10 O 0.230 0.081 0.336 [8 per cell]